[1]
# Rb4Sm3SbS8
Computed XRD peak list, a wavelength of 1.5418 Å. Input: a cell relaxed with PBE.
No peak broadening, texture or thermal motion is included.

Largest 10 diffraction maxima, sorted by position, 2θ from 10° to 90°:
2theta	I/Imax	(hkl)
11.5	22	0 0 3
23.2	22	0 0 6
25.9	42	2 0 2
29.2	100	0 2 4
40.1	36	2 0 8
43.5	34	2 2 0
46.8	13	0 2 10
49.8	18	2 2 6
53.2	18	4 0 4
71.1	15	2 4 4

Atomic structure:
```
data_Rb4Sm3SbS8
_chemical_formula_sum 'Rb12 Sm9 Sb3 S24'
_cell_length_a 8.3264
_cell_length_b 8.3264
_cell_length_c 23.0501
_cell_angle_alpha 90.00
_cell_angle_beta 90.00
_cell_angle_gamma 120.00
_symmetry_space_group_name_H-M 'R -3 m'
_symmetry_Int_Tables_number 166
_symmetry_space_group_name_Hall '-R 3 2"'
loop_
_atom_site_label
_atom_site_type_symbol
_atom_site_fract_x
_atom_site_fract_y
_atom_site_fract_z
Rb1 Rb 0.0000 0.0000 0.0000
Rb2 Rb 0.0000 0.5000 0.0000
Sm1 Sm 0.0000 0.5000 0.5000
Sb1 Sb 0.0000 0.0000 0.5000
S1 S 0.0000 0.0000 0.2320
S2 S 0.0025 0.5013 0.2314
```

[2]
# RbTl2SbS4
Computed XRD peak list, a wavelength of 1.5418 Å. Input: a cell relaxed with PBE.
No peak broadening, texture or thermal motion is included.

Largest 10 diffraction maxima, sorted by position, 2θ from 10° to 90°:
2theta	I/Imax	(hkl)
12.7	24	0 1 1
25.7	62	0 2 2
25.9	60	2 0 2
29.7	51	0 0 4
29.9	100	2 2 0
42.7	73	2 2 4
50.4	34	2 4 2
50.8	22	4 2 2
52.7	19	0 4 4
70.1	23	2 2 8

Atomic structure:
```
data_RbTl2SbS4
_chemical_formula_sum 'Rb4 Tl8 Sb4 S16'
_cell_length_a 8.4020
_cell_length_b 8.5042
_cell_length_c 12.0286
_cell_angle_alpha 90.00
_cell_angle_beta 90.00
_cell_angle_gamma 90.00
_symmetry_space_group_name_H-M 'I m m a'
_symmetry_Int_Tables_number 74
_symmetry_space_group_name_Hall '-I 2b 2'
loop_
_atom_site_label
_atom_site_type_symbol
_atom_site_fract_x
_atom_site_fract_y
_atom_site_fract_z
Rb1 Rb 0.2500 0.2500 0.2500
Tl1 Tl 0.0000 0.0000 0.0000
Tl2 Tl 0.2500 0.2500 0.7500
Sb1 Sb 0.0000 0.0000 0.5000
S1 S 0.0000 0.0356 0.7352
S2 S 0.2231 0.2500 0.5159
```

[3]
# RbU2SbS8
Computed XRD peak list, a wavelength of 1.5418 Å. Input: a cell relaxed with PBE.
No peak broadening, texture or thermal motion is included.

Largest 10 diffraction maxima, sorted by position, 2θ from 10° to 90°:
2theta	I/Imax	(hkl)
11.6	100	0 0 1
19.8	84	0 2 1
28.2	43	2 2 0
28.6	71	2 0 1
32.2	23	0 4 0
32.9	21	2 2 1
37.2	27	2 0 2
40.0	28	2 4 0
40.7	29	2 2 2
43.6	32	2 4 1

Atomic structure:
```
data_RbU2SbS8
_chemical_formula_sum 'Rb2 U4 Sb2 S16'
_cell_length_a 7.9364
_cell_length_b 11.1250
_cell_length_c 7.8704
_cell_angle_alpha 90.00
_cell_angle_beta 104.68
_cell_angle_gamma 90.00
_symmetry_space_group_name_H-M 'C 1 m 1'
_symmetry_Int_Tables_number 8
loop_
_symmetry_equiv_pos_as_xyz
'x,y,z'
'x,-y,z'
'x+1/2,y+1/2,z'
'x+1/2,-y+1/2,z'
loop_
_atom_site_label
_atom_site_type_symbol
_atom_site_fract_x
_atom_site_fract_y
_atom_site_fract_z
Rb1 Rb 0.0000 0.0000 0.0000
U1 U 0.3665 0.2498 0.4664
Sb1 Sb 0.0479 0.5000 0.1918
S1 S 0.0554 0.2578 0.2235
S2 S 0.1718 0.3369 0.6921
S3 S 0.1728 0.1506 0.6847
S4 S 0.3443 0.5000 0.3865
S5 S 0.3484 0.0000 0.3851
```

[4]
# Rb2ZnSbS4
Computed XRD peak list, a wavelength of 1.5418 Å. Input: a cell relaxed with PBE.
No peak broadening, texture or thermal motion is included.

Largest 10 diffraction maxima, sorted by position, 2θ from 10° to 90°:
2theta	I/Imax	(hkl)
14.5	27	0 2 2
15.1	30	0 0 4
19.2	19	1 1 3
24.7	17	0 4 0
26.0	100	0 2 6
31.2	30	2 2 0
36.8	29	2 0 6
44.3	16	0 6 6
44.9	19	2 4 6
47.8	19	2 6 0

Atomic structure:
```
data_Rb2ZnSbS4
_chemical_formula_sum 'Rb16 Zn8 Sb8 S32'
_cell_length_a 6.2531
_cell_length_b 14.3897
_cell_length_c 23.3939
_cell_angle_alpha 90.00
_cell_angle_beta 90.00
_cell_angle_gamma 90.00
_symmetry_space_group_name_H-M 'F d d d'
_symmetry_Int_Tables_number 70
loop_
_symmetry_equiv_pos_as_xyz
'x,y,z'
'-x,-y,-z'
'-x+1/4,-y+1/4,z'
'x+1/4,y+1/4,-z'
'x,-y+1/4,-z+1/4'
'-x,y+1/4,z+1/4'
'-x+1/4,y,-z+1/4'
'x+1/4,-y,z+1/4'
'x,y+1/2,z+1/2'
'-x,-y+1/2,-z+1/2'
'-x+1/4,-y+3/4,z+1/2'
'x+1/4,y+3/4,-z+1/2'
'x,-y+3/4,-z+3/4'
'-x,y+3/4,z+3/4'
'-x+1/4,y+1/2,-z+3/4'
'x+1/4,-y+1/2,z+3/4'
'x+1/2,y,z+1/2'
'-x+1/2,-y,-z+1/2'
'-x+3/4,-y+1/4,z+1/2'
'x+3/4,y+1/4,-z+1/2'
'x+1/2,-y+1/4,-z+3/4'
'-x+1/2,y+1/4,z+3/4'
'-x+3/4,y,-z+3/4'
'x+3/4,-y,z+3/4'
'x+1/2,y+1/2,z'
'-x+1/2,-y+1/2,-z'
'-x+3/4,-y+3/4,z'
'x+3/4,y+3/4,-z'
'x+1/2,-y+3/4,-z+1/4'
'-x+1/2,y+3/4,z+1/4'
'-x+3/4,y+1/2,-z+1/4'
'x+3/4,-y+1/2,z+1/4'
loop_
_atom_site_label
_atom_site_type_symbol
_atom_site_fract_x
_atom_site_fract_y
_atom_site_fract_z
Rb1 Rb 0.1250 0.1250 0.3040
Zn1 Zn 0.1250 0.1250 0.1250
Sb1 Sb 0.1250 0.1250 0.6250
S1 S 0.1095 0.2766 0.4277
```